Theoretical X-ray diffraction stick pattern
Compound: La8DyHo6
Radiation: Cu Kα (λ = 1.5418 Å)
Structure: a structure optimized by DFT (GGA-PBE)

Structural model:
a = 9.4419 Å, b = 9.4419 Å, c = 6.6820 Å
α = 90.00°, β = 90.00°, γ = 120.00°
Space group P-3 (No. 147)
Inequivalent atoms, fractional coordinates:
La 0.0442 0.2932 0.3320 x6
La 0.3333 0.6667 0.3805 x2
Dy 0.0000 0.0000 0.0000 x1
Ho 0.0981 0.4369 0.8488 x6

Main lines, most intense first (2θ = 10–90°):
h k l	2θ (°)	intensity
3 -2 1	31.90	100.0
1 1 2	32.85	81.5
1 2 0	28.88	68.9
3 2 1	50.53	26.3
2 0 1	25.54	25.1
6 -2 1	61.59	20.8
4 -1 3	58.05	16.3
3 2 3	65.01	14.7
2 1 5	77.91	14.1
4 -3 2	48.52	13.7